# Ti15NbO32
Simulated powder XRD pattern, Cu Kα (λ = 1.5418 Å). Input: DFT lattice parameters and positions (GGA-PBE).
Kinematic intensities with the Lorentz-polarization factor, no thermal factor.

Structure:
a b c (Å): 7.651 7.651 9.718
angles (deg): 90.00 90.00 90.00
Space group P-4m2 (No. 115)
Inequivalent atoms, fractional coordinates:
Ti  0.000  0.000  0.000 [1 per cell]
Ti  0.000  0.249  0.249 [4 per cell]
Ti  0.000  0.500  0.001 [2 per cell]
Ti  0.246  0.500  0.742 [4 per cell]
Ti  0.247  0.247  0.500 [4 per cell]
Nb  0.500  0.500  0.000 [1 per cell]
O  0.000  0.000  0.207 [2 per cell]
O  0.000  0.249  0.457 [4 per cell]
O  0.000  0.250  0.043 [4 per cell]
O  0.000  0.500  0.206 [2 per cell]
O  0.000  0.500  0.790 [2 per cell]
O  0.248  0.500  0.954 [4 per cell]
O  0.249  0.250  0.294 [8 per cell]
O  0.249  0.500  0.542 [4 per cell]
O  0.500  0.500  0.211 [2 per cell]

Most intense lines, 2θ from 5° to 70°, sorted by position:
2theta	I/Imax	h k l
25.01	100	2 0 1
36.34	7	2 0 3
37.00	20	0 0 4
38.07	9	2 2 2
47.54	29	4 0 0
52.83	19	2 0 5
54.46	19	4 2 1
61.72	15	4 0 4
67.39	7	2 2 6
69.50	7	4 4 0


# ZnCu3Rh2
Simulated powder XRD pattern, Cu Kα (λ = 1.5418 Å). Input: DFT lattice parameters and positions (GGA-PBE).
Kinematic intensities with the Lorentz-polarization factor, no thermal factor.

Structure:
a b c (Å): 11.187 7.724 4.129
angles (deg): 90.00 90.00 90.00
Space group Cmcm (No. 63)
Inequivalent atoms, fractional coordinates:
Zn  0.000  0.231  0.250 [4 per cell]
Cu  0.000  0.416  0.750 [4 per cell]
Cu  0.234  0.373  0.750 [8 per cell]
Rh  0.116  0.109  0.750 [8 per cell]

Most intense lines, 2θ from 5° to 70°, sorted by position:
2theta	I/Imax	h k l
13.93	24	1 1 0
25.73	16	1 1 1
26.54	18	3 1 0
34.43	28	3 1 1
42.04	23	5 1 0
42.15	63	1 3 1
43.86	41	0 0 2
45.69	100	4 2 1
47.06	13	0 4 0
62.37	14	5 1 2


# Rb2Ga2Ge
Simulated powder XRD pattern, Cu Kα (λ = 1.5418 Å). Input: DFT lattice parameters and positions (GGA-PBE).
Kinematic intensities with the Lorentz-polarization factor, no thermal factor.

Structure:
a b c (Å): 11.161 8.096 7.731
angles (deg): 90.00 90.00 90.00
Space group Cmcm (No. 63)
Inequivalent atoms, fractional coordinates:
Rb  0.193  0.000  0.000 [8 per cell]
Ga  0.000  0.356  0.091 [8 per cell]
Ge  0.000  0.326  0.750 [4 per cell]

Most intense lines, 2θ from 5° to 70°, sorted by position:
2theta	I/Imax	h k l
13.51	25	1 1 0
26.36	100	3 1 0
27.21	52	2 2 0
32.04	55	4 0 0
34.18	47	1 3 0
35.27	29	3 1 2
37.50	33	1 1 3
44.74	25	2 2 3
47.81	35	2 4 0
53.25	25	5 3 0


# La3PmPr4
Simulated powder XRD pattern, Cu Kα (λ = 1.5418 Å). Input: DFT lattice parameters and positions (GGA-PBE).
Kinematic intensities with the Lorentz-polarization factor, no thermal factor.

Structure:
a b c (Å): 10.561 7.408 7.406
angles (deg): 90.00 90.00 90.00
Space group Pmna (No. 53)
Inequivalent atoms, fractional coordinates:
La  0.000  0.000  0.000 [2 per cell]
La  0.250  0.251  0.250 [4 per cell]
Pm  0.000  0.500  0.500 [2 per cell]
Pr  0.000  0.000  0.500 [2 per cell]
Pr  0.000  0.500  0.000 [2 per cell]
Pr  0.250  0.251  0.750 [4 per cell]

Most intense lines, 2θ from 5° to 70°, sorted by position:
2theta	I/Imax	h k l
29.46	100	2 2 0
33.95	17	4 0 0
34.24	34	0 2 2
48.99	24	4 2 2
49.20	12	0 4 0
58.01	15	6 2 0
58.39	29	2 4 2
61.13	13	4 4 0


# Pm3Pd7Pb2
Simulated powder XRD pattern, Cu Kα (λ = 1.5418 Å). Input: DFT lattice parameters and positions (GGA-PBE).
Kinematic intensities with the Lorentz-polarization factor, no thermal factor.

Structure:
a b c (Å): 4.281 4.071 15.126
angles (deg): 90.00 98.07 90.00
Space group P2/m (No. 10)
Inequivalent atoms, fractional coordinates:
Pm  0.000  0.000  0.000 [1 per cell]
Pm  0.309  0.500  0.617 [2 per cell]
Pd  0.068  0.500  0.139 [2 per cell]
Pd  0.223  0.000  0.446 [2 per cell]
Pd  0.430  0.000  0.856 [2 per cell]
Pd  0.500  0.500  0.000 [1 per cell]
Pb  0.129  0.000  0.263 [2 per cell]

Most intense lines, 2θ from 5° to 70°, sorted by position:
2theta	I/Imax	h k l
31.63	63	1 1 1
32.49	61	0 1 4
33.87	100	1 1 -3
37.01	68	1 1 -4
39.21	41	1 0 5
40.88	83	1 1 4
42.23	86	2 0 -1
44.51	55	0 2 0
54.27	35	2 1 3
63.02	52	2 2 -1


# NaLiSc2Te4
Simulated powder XRD pattern, Cu Kα (λ = 1.5418 Å). Input: DFT lattice parameters and positions (GGA-PBE).
Kinematic intensities with the Lorentz-polarization factor, no thermal factor.

Structure:
a b c (Å): 4.229 13.992 15.046
angles (deg): 90.00 90.00 90.00
Space group Cmcm (No. 63)
Inequivalent atoms, fractional coordinates:
Na  0.000  0.122  0.250 [4 per cell]
Li  0.000  0.159  0.750 [4 per cell]
Sc  0.000  0.368  0.068 [8 per cell]
Te  0.000  0.000  0.000 [4 per cell]
Te  0.000  0.272  0.608 [8 per cell]
Te  0.000  0.452  0.250 [4 per cell]

Most intense lines, 2θ from 5° to 70°, sorted by position:
2theta	I/Imax	h k l
24.98	37	1 1 2
25.46	20	0 4 0
26.91	100	0 2 4
28.33	37	1 1 3
29.11	65	1 3 1
30.92	60	1 3 2
42.40	25	1 1 6
42.75	86	2 0 0
45.76	20	0 6 4
51.25	33	2 2 4


# Ca2Cu2SbPd5
Simulated powder XRD pattern, Cu Kα (λ = 1.5418 Å). Input: DFT lattice parameters and positions (GGA-PBE).
Kinematic intensities with the Lorentz-polarization factor, no thermal factor.

Structure:
a b c (Å): 9.652 9.652 3.832
angles (deg): 90.00 90.00 90.00
Space group P4/mbm (No. 127)
Inequivalent atoms, fractional coordinates:
Ca  0.173  0.327  0.000 [4 per cell]
Cu  0.125  0.625  0.000 [4 per cell]
Sb  0.000  0.000  0.000 [2 per cell]
Pd  0.000  0.500  0.500 [2 per cell]
Pd  0.067  0.792  0.500 [8 per cell]

Most intense lines, 2θ from 5° to 70°, sorted by position:
2theta	I/Imax	h k l
18.38	14	2 0 0
20.58	24	2 1 0
35.22	24	2 2 1
37.68	100	3 1 1
38.46	28	4 1 0
41.13	38	3 2 1
41.86	20	4 2 0
45.40	13	4 1 1
47.45	23	0 0 2
62.65	16	4 1 2


# Na3In2Hg2Bi4
Simulated powder XRD pattern, Cu Kα (λ = 1.5418 Å). Input: DFT lattice parameters and positions (GGA-PBE).
Kinematic intensities with the Lorentz-polarization factor, no thermal factor.

Structure:
a b c (Å): 5.0119 5.0119 16.2632
angles (deg): 90.00 90.00 120.00
Space group P-3m1 (No. 164)
Inequivalent atoms, fractional coordinates:
Na  0.0000  0.0000  0.0000 [1 per cell]
Na  0.0000  0.0000  0.2527 [2 per cell]
In  0.3333  0.6667  0.5657 [2 per cell]
Hg  0.3333  0.6667  0.1595 [2 per cell]
Bi  0.3333  0.6667  0.3735 [2 per cell]
Bi  0.3333  0.6667  0.8853 [2 per cell]

Most intense lines, 2θ from 5° to 70°, sorted by position:
2theta	I/Imax	h k l
20.46	73	1 0 0
21.86	50	0 0 4
26.30	17	1 0 3
30.12	54	1 0 4
34.46	36	0 1 5
35.83	100	1 1 0
39.18	35	1 0 6
42.37	56	1 1 4
60.85	34	1 0 10
64.39	18	3 0 0